This entry pairs a crystal structure of La3PrCd with its calculated powder diffraction line list. Radiation: CuKα. Structure: a crystal structure in Alexandria, relaxed with PBE.
Intensities are scaled so that the largest is 100.

Crystal structure
```
data_La3PrCd
_chemical_formula_sum 'La6 Pr2 Cd2'
_cell_length_a 3.822
_cell_length_b 9.116
_cell_length_c 10.263
_cell_angle_alpha 77.01
_cell_angle_beta 79.29
_cell_angle_gamma 89.99
_symmetry_space_group_name_H-M 'P -1'
_symmetry_Int_Tables_number 2
loop_
_symmetry_equiv_pos_as_xyz
'x,y,z'
'-x,-y,-z'
loop_
_atom_site_label
_atom_site_fract_x
_atom_site_fract_y
_atom_site_fract_z
La1 0.003 0.287 0.492
La2 0.189 0.374 0.123
La3 0.204 0.836 0.092
Pr1 0.405 0.965 0.688
Cd1 0.394 0.426 0.710
```

Main lines, low angle first (2θ from 15° to 90°):
- 2θ 30.0, rel. 51
- 2θ 30.1, rel. 50
- 2θ 30.5, rel. 100
- 2θ 32.7, rel. 88
- 2θ 39.5, rel. 19
- 2θ 47.6, rel. 16
- 2θ 52.2, rel. 15
- 2θ 52.3, rel. 16
- 2θ 56.4, rel. 16
- 2θ 57.3, rel. 32